Simulated powder X-ray diffraction pattern
Compound: La2CCl2
Radiation: copper Kα
Structure: DFT lattice parameters and positions (PBE)

Structure:
a = 9.827 Å, b = 7.807 Å, c = 7.020 Å
α = 90.00°, β = 95.36°, γ = 90.00°
Space group P2_1/c (No. 14)
Unique sites:
La: 0.057 0.124 0.304 x4
La: 0.328 0.508 0.248 x4
C: 0.125 0.097 0.648 x4
Cl: 0.199 0.650 0.603 x4
Cl: 0.465 0.224 0.483 x4

Peak list (12 most intense, 10 to 80 degrees two-theta, in order of rising 2θ)
hkl  2θ/deg  I/Imax
1 1 -1  18.7  49
2 1 -1  24.1  43
0 0 2  25.5  44
2 1 1  25.8  100
0 2 1  26.1  26
1 2 -1  27.3  58
3 1 0  29.7  25
2 2 -1  31.3  36
0 2 2  34.4  30
3 0 -2  35.9  70
1 1 -3  40.6  26
2 1 3  46.2  24